1.
Calculated XRD peak list of Rb2ZnF7 for Cu Kα X-rays, from a PBE-relaxed structure.

Atomic structure:
Lattice parameters (Å, degrees): 6.2520 6.2520 6.2520 124.43 124.43 82.48
Fractional positions:
Rb1 0.2500 0.7500 0.5000
Rb2 0.7500 0.2500 0.5000
Zn1 0.0000 0.0000 0.0000
F1 0.2006 0.2006 0.0000
F2 0.2410 0.2410 0.4821
F3 0.2410 0.7590 0.0000
F4 0.5000 0.5000 0.0000
F5 0.7590 0.2410 0.0000
F6 0.7590 0.7590 0.5179
F7 0.7994 0.7994 0.0000

Most intense lines, 15° ≤ 2θ ≤ 90°, by angle:
two_theta  I_rel
17.91  27
28.81  100
30.68  40
36.27  37
38.29  27
43.94  40
53.39  34
59.67  26

---

2.
Calculated XRD peak list of RbZnF4 for Cu Kα X-rays, from a PBE-relaxed structure.

Atomic structure:
Lattice parameters (Å, degrees): 3.9772 3.9772 6.1475 90.00 90.00 90.00
Fractional positions:
Rb1 0.0000 0.0000 0.0000
Zn1 0.5000 0.5000 0.5000
F1 0.0000 0.5000 0.5000
F2 0.5000 0.0000 0.5000
F3 0.5000 0.5000 0.1898
F4 0.5000 0.5000 0.8102

Most intense lines, 15° ≤ 2θ ≤ 90°, by angle:
two_theta  I_rel
26.70  100
29.05  28
31.82  39
45.62  30
50.07  30
53.64  28
55.00  18
70.05  21

---

3.
Calculated XRD peak list of Rb3Zn2F6 for Cu Kα X-rays, from a PBE-relaxed structure.

Atomic structure:
Lattice parameters (Å, degrees): 11.6266 11.6266 11.6266 158.81 158.81 30.15
Fractional positions:
Rb1 0.0000 0.0000 0.0000
Rb2 0.1834 0.1834 0.0000
Rb3 0.8166 0.8166 0.0000
Zn1 0.4012 0.4012 0.0000
Zn2 0.5988 0.5988 0.0000
F1 0.0901 0.5901 0.5000
F2 0.3104 0.3104 0.0000
F3 0.4099 0.9099 0.5000
F4 0.5901 0.0901 0.5000
F5 0.6896 0.6896 0.0000
F6 0.9099 0.4099 0.5000

Most intense lines, 15° ≤ 2θ ≤ 90°, by angle:
two_theta  I_rel
28.83  100
29.54  53
38.27  17
40.16  14
42.27  40
50.64  14
51.97  38
59.72  16